Starting from the GGA-PBE geometry in Alexandria, the powder diffractogram of RbUSiS6 was computed for Cu Kα X-rays.
Kinematic intensities with the Lorentz-polarization factor, no thermal factor.

Structural model:
Lattice parameters (Å, degrees): 6.207 6.207 7.928 90.00 90.00 120.00
Fractional coordinates of all 9 atoms:
1 Rb 0.000 0.000 0.000
2 U 0.333 0.667 0.500
3 Si 0.667 0.333 0.500
4 S 0.373 0.030 0.676
5 S 0.373 0.343 0.324
6 S 0.657 0.030 0.324
7 S 0.657 0.627 0.676
8 S 0.970 0.343 0.676
9 S 0.970 0.627 0.324

Main lines, by intensity (10° ≤ 2θ ≤ 90°):
| 2θ/deg | Rel. int. |
| --- | --- |
| 19.96 | 1000 |
| 11.16 | 586 |
| 36.78 | 501 |
| 16.49 | 249 |
| 46.12 | 244 |
| 35.26 | 238 |
| 27.97 | 201 |
| 37.94 | 199 |
| 30.94 | 173 |
| 28.77 | 165 |
| 50.97 | 141 |
| 54.97 | 141 |

Starting from the GGA-PBE geometry in Alexandria, the powder diffractogram of Rb2ZnSiS4 was computed for Cu Kα X-rays.
Kinematic intensities with the Lorentz-polarization factor, no thermal factor.

Structural model:
Lattice parameters (Å, degrees): 6.580 6.580 6.580 114.97 114.97 98.95
Fractional coordinates of all 8 atoms:
1 Rb 0.000 0.000 0.000
2 Rb 0.750 0.250 0.500
3 Zn 0.500 0.500 0.000
4 Si 0.250 0.750 0.500
5 S 0.248 0.106 0.596
6 S 0.348 0.752 0.858
7 S 0.510 0.652 0.404
8 S 0.894 0.490 0.142

Main lines, by intensity (10° ≤ 2θ ≤ 90°):
| 2θ/deg | Rel. int. |
| --- | --- |
| 27.44 | 1000 |
| 45.78 | 427 |
| 25.18 | 302 |
| 30.12 | 272 |
| 49.84 | 250 |
| 35.91 | 230 |
| 58.34 | 147 |
| 71.49 | 110 |
| 56.64 | 103 |
| 59.51 | 100 |
| 82.68 | 82 |
| 79.79 | 79 |

Starting from the GGA-PBE geometry in Alexandria, the powder diffractogram of Rb5SmS4 was computed for Cu Kα X-rays.
Kinematic intensities with the Lorentz-polarization factor, no thermal factor.

Structural model:
Lattice parameters (Å, degrees): 10.343 10.343 8.604 114.45 114.45 25.55
Fractional coordinates of all 10 atoms:
1 Rb 0.000 0.000 0.000
2 Rb 0.330 0.330 0.083
3 Rb 0.330 0.330 0.581
4 Rb 0.670 0.670 0.419
5 Rb 0.670 0.670 0.917
6 Sm 0.000 0.000 0.500
7 S 0.162 0.162 0.661
8 S 0.500 0.500 0.282
9 S 0.500 0.500 0.718
10 S 0.838 0.838 0.339

Main lines, by intensity (10° ≤ 2θ ≤ 90°):
| 2θ/deg | Rel. int. |
| --- | --- |
| 28.91 | 1000 |
| 24.34 | 602 |
| 37.82 | 519 |
| 29.33 | 489 |
| 22.85 | 376 |
| 49.13 | 294 |
| 45.22 | 251 |
| 11.37 | 235 |
| 39.40 | 217 |
| 49.87 | 216 |
| 42.01 | 171 |
| 28.50 | 165 |

Starting from the GGA-PBE geometry in Alexandria, the powder diffractogram of RbSmS2 was computed for Cu Kα X-rays.
Kinematic intensities with the Lorentz-polarization factor, no thermal factor.

Structural model:
Lattice parameters (Å, degrees): 8.193 8.193 8.193 29.36 29.36 29.36
Fractional coordinates of all 4 atoms:
1 Rb 0.000 0.000 0.000
2 Sm 0.169 0.169 0.169
3 S 0.568 0.568 0.568
4 S 0.771 0.771 0.771

Main lines, by intensity (10° ≤ 2θ ≤ 90°):
| 2θ/deg | Rel. int. |
| --- | --- |
| 31.32 | 1000 |
| 25.06 | 564 |
| 43.60 | 472 |
| 25.91 | 442 |
| 36.62 | 396 |
| 11.29 | 366 |
| 49.69 | 363 |
| 22.70 | 328 |
| 54.66 | 197 |
| 72.39 | 196 |
| 65.53 | 188 |
| 46.14 | 178 |

Starting from the GGA-PBE geometry in Alexandria, the powder diffractogram of Rb4Sm3TiS8 was computed for Cu Kα X-rays.
Kinematic intensities with the Lorentz-polarization factor, no thermal factor.

Structural model:
Lattice parameters (Å, degrees): 9.006 9.006 9.006 53.67 53.67 53.67
Fractional coordinates of all 16 atoms:
1 Rb 0.000 0.000 0.000
2 Rb 0.000 0.500 0.500
3 Rb 0.500 0.000 0.500
4 Rb 0.500 0.500 0.000
5 Sm 0.000 0.000 0.500
6 Sm 0.000 0.500 0.000
7 Sm 0.500 0.000 0.000
8 Ti 0.500 0.500 0.500
9 S 0.233 0.233 0.233
10 S 0.252 0.718 0.718
11 S 0.282 0.282 0.748
12 S 0.282 0.748 0.282
13 S 0.718 0.252 0.718
14 S 0.718 0.718 0.252
15 S 0.748 0.282 0.282
16 S 0.767 0.767 0.767

Main lines, by intensity (10° ≤ 2θ ≤ 90°):
| 2θ/deg | Rel. int. |
| --- | --- |
| 29.73 | 1000 |
| 26.47 | 390 |
| 40.44 | 356 |
| 44.58 | 329 |
| 23.14 | 238 |
| 11.51 | 173 |
| 50.81 | 169 |
| 54.50 | 168 |
| 47.12 | 144 |
| 72.96 | 137 |
| 67.02 | 123 |
| 61.75 | 99 |

Starting from the GGA-PBE geometry in Alexandria, the powder diffractogram of RbSmY4S8 was computed for Cu Kα X-rays.
Kinematic intensities with the Lorentz-polarization factor, no thermal factor.

Structural model:
Lattice parameters (Å, degrees): 8.353 8.353 8.353 59.42 59.42 59.42
Fractional coordinates of all 14 atoms:
1 Rb 0.000 0.000 0.000
2 Sm 0.368 0.368 0.368
3 Y 0.368 0.368 0.886
4 Y 0.368 0.886 0.368
5 Y 0.747 0.747 0.747
6 Y 0.886 0.368 0.368
7 S 0.138 0.138 0.567
8 S 0.138 0.567 0.138
9 S 0.142 0.142 0.142
10 S 0.142 0.617 0.617
11 S 0.567 0.138 0.138
12 S 0.615 0.615 0.615
13 S 0.617 0.142 0.617
14 S 0.617 0.617 0.142

Main lines, by intensity (10° ≤ 2θ ≤ 90°):
| 2θ/deg | Rel. int. |
| --- | --- |
| 25.15 | 1000 |
| 43.33 | 486 |
| 30.40 | 485 |
| 43.73 | 485 |
| 24.97 | 394 |
| 39.84 | 336 |
| 13.08 | 325 |
| 21.46 | 283 |
| 39.95 | 255 |
| 60.69 | 185 |
| 63.26 | 140 |
| 80.07 | 136 |

Starting from the GGA-PBE geometry in Alexandria, the powder diffractogram of Rb2SnS3 was computed for Cu Kα X-rays.
Kinematic intensities with the Lorentz-polarization factor, no thermal factor.

Structural model:
Lattice parameters (Å, degrees): 8.099 8.099 15.974 90.02 90.02 127.72
Fractional coordinates of all 24 atoms:
1 Rb 0.044 0.456 0.647
2 Rb 0.138 0.361 0.064
3 Rb 0.361 0.138 0.564
4 Rb 0.456 0.044 0.147
5 Rb 0.544 0.956 0.853
6 Rb 0.639 0.862 0.436
7 Rb 0.862 0.639 0.936
8 Rb 0.956 0.544 0.353
9 Sn 0.250 0.250 0.336
10 Sn 0.250 0.250 0.836
11 Sn 0.750 0.750 0.164
12 Sn 0.750 0.750 0.664
13 S 0.074 0.926 0.750
14 S 0.089 0.411 0.851
15 S 0.158 0.343 0.458
16 S 0.343 0.158 0.958
17 S 0.411 0.089 0.351
18 S 0.426 0.574 0.250
19 S 0.574 0.426 0.750
20 S 0.589 0.911 0.649
21 S 0.657 0.842 0.042
22 S 0.842 0.657 0.542
23 S 0.911 0.589 0.149
24 S 0.926 0.074 0.250

Main lines, by intensity (10° ≤ 2θ ≤ 90°):
| 2θ/deg | Rel. int. |
| --- | --- |
| 24.85 | 1000 |
| 24.96 | 999 |
| 26.30 | 632 |
| 30.56 | 489 |
| 33.69 | 420 |
| 17.75 | 388 |
| 42.06 | 380 |
| 25.12 | 332 |
| 12.17 | 315 |
| 37.06 | 294 |
| 51.20 | 284 |
| 39.85 | 254 |

Starting from the GGA-PBE geometry in Alexandria, the powder diffractogram of Rb6Sn2S7 was computed for Cu Kα X-rays.
Kinematic intensities with the Lorentz-polarization factor, no thermal factor.

Structural model:
Lattice parameters (Å, degrees): 10.148 13.748 15.036 90.00 90.00 90.00
Fractional coordinates of all 60 atoms:
1 Rb 0.032 0.165 0.189
2 Rb 0.063 0.816 0.880
3 Rb 0.140 0.650 0.644
4 Rb 0.145 0.574 0.088
5 Rb 0.219 0.862 0.439
6 Rb 0.244 0.113 0.627
7 Rb 0.256 0.887 0.127
8 Rb 0.281 0.138 0.939
9 Rb 0.355 0.426 0.588
10 Rb 0.360 0.350 0.144
11 Rb 0.437 0.184 0.380
12 Rb 0.468 0.835 0.689
13 Rb 0.532 0.335 0.811
14 Rb 0.563 0.684 0.120
15 Rb 0.640 0.850 0.356
16 Rb 0.645 0.926 0.912
17 Rb 0.719 0.638 0.561
18 Rb 0.744 0.387 0.373
19 Rb 0.756 0.613 0.873
20 Rb 0.781 0.362 0.061
21 Rb 0.855 0.074 0.412
22 Rb 0.860 0.150 0.856
23 Rb 0.937 0.316 0.620
24 Rb 0.968 0.665 0.311
25 Sn 0.080 0.391 0.865
26 Sn 0.120 0.396 0.382
27 Sn 0.380 0.604 0.882
28 Sn 0.420 0.609 0.365
29 Sn 0.580 0.109 0.135
30 Sn 0.620 0.104 0.618
31 Sn 0.880 0.896 0.118
32 Sn 0.920 0.891 0.635
33 S 0.016 0.502 0.489
34 S 0.023 0.417 0.239
35 S 0.100 0.328 0.012
36 S 0.118 0.231 0.435
37 S 0.136 0.569 0.864
38 S 0.149 0.894 0.675
39 S 0.207 0.298 0.761
40 S 0.293 0.702 0.261
41 S 0.351 0.106 0.175
42 S 0.364 0.431 0.364
43 S 0.382 0.769 0.935
44 S 0.400 0.672 0.512
45 S 0.477 0.583 0.739
46 S 0.484 0.498 0.989
47 S 0.516 0.998 0.511
48 S 0.523 0.083 0.761
49 S 0.600 0.172 0.988
50 S 0.618 0.269 0.565
51 S 0.636 0.931 0.136
52 S 0.649 0.606 0.325
53 S 0.707 0.202 0.239
54 S 0.793 0.798 0.739
55 S 0.851 0.394 0.825
56 S 0.864 0.069 0.636
57 S 0.882 0.731 0.065
58 S 0.900 0.828 0.488
59 S 0.977 0.917 0.261
60 S 0.984 0.002 0.011

Main lines, by intensity (10° ≤ 2θ ≤ 90°):
| 2θ/deg | Rel. int. |
| --- | --- |
| 24.82 | 1000 |
| 27.80 | 641 |
| 23.67 | 452 |
| 25.92 | 403 |
| 24.38 | 381 |
| 45.07 | 349 |
| 42.34 | 298 |
| 13.42 | 284 |
| 22.57 | 280 |
| 27.15 | 264 |
| 35.38 | 264 |
| 49.10 | 226 |

Starting from the GGA-PBE geometry in Alexandria, the powder diffractogram of Rb2SnTeS4 was computed for Cu Kα X-rays.
Kinematic intensities with the Lorentz-polarization factor, no thermal factor.

Structural model:
Lattice parameters (Å, degrees): 6.926 6.926 6.926 109.54 109.54 109.33
Fractional coordinates of all 8 atoms:
1 Rb 0.000 0.000 0.000
2 Rb 0.750 0.250 0.500
3 Sn 0.250 0.750 0.500
4 Te 0.500 0.500 0.000
5 S 0.268 0.420 0.547
6 S 0.279 0.732 0.152
7 S 0.580 0.127 0.848
8 S 0.873 0.721 0.453

Main lines, by intensity (10° ≤ 2θ ≤ 90°):
| 2θ/deg | Rel. int. |
| --- | --- |
| 27.30 | 1000 |
| 42.29 | 730 |
| 22.25 | 539 |
| 31.67 | 386 |
| 51.12 | 195 |
| 51.01 | 182 |
| 70.68 | 174 |
| 63.78 | 163 |
| 72.97 | 148 |
| 15.66 | 142 |
| 56.31 | 132 |
| 66.09 | 116 |